Record 1
Starting from the PBE geometry in Alexandria, the powder XRD pattern of MgAlAg6 was computed for Cu Kα X-rays.

Top 12 peaks for 10° ≤ 2θ ≤ 90°, sorted by position:
| 2theta | I_rel |
| --- | --- |
| 20.58 | 7 |
| 22.03 | 11 |
| 30.33 | 10 |
| 31.36 | 5 |
| 37.80 | 100 |
| 41.86 | 19 |
| 44.94 | 30 |
| 63.08 | 21 |
| 65.43 | 9 |
| 73.76 | 14 |
| 78.12 | 22 |
| 80.76 | 10 |

```
MgAlAg6
1.0
5.7053 0.0000 0.0000
0.0000 5.7053 0.0000
0.0000 0.0000 4.3164
Mg Al Ag
1 1 6
Cartesian
0.0000 0.0000 0.0000
2.8526 2.8526 0.0000
0.0000 2.8526 0.0000
1.4398 1.4398 2.1582
1.4398 4.2655 2.1582
2.8526 0.0000 0.0000
4.2655 1.4398 2.1582
4.2655 4.2655 2.1582
```



Record 2
Starting from the PBE geometry in Alexandria, the powder XRD pattern of Mg6AlAg was computed for Cu Kα X-rays.

Top 12 peaks for 10° ≤ 2θ ≤ 90°, sorted by position:
| 2theta | I_rel |
| --- | --- |
| 10.89 | 55 |
| 20.23 | 36 |
| 25.55 | 21 |
| 29.82 | 10 |
| 33.88 | 10 |
| 35.56 | 100 |
| 39.54 | 38 |
| 43.66 | 12 |
| 44.63 | 12 |
| 57.16 | 12 |
| 61.13 | 17 |
| 69.16 | 26 |

```
Mg6AlAg
1.0
-2.2790 2.2790 8.1220
2.2790 -2.2790 8.1220
2.2790 2.2790 -8.1220
Mg Al Ag
6 1 1
Cartesian
2.2790 0.0000 1.8206
0.0000 0.0000 4.0451
2.2790 0.0000 6.3014
0.0000 2.2790 1.8206
0.0000 0.0000 12.1989
0.0000 2.2790 6.3014
0.0000 0.0000 0.0000
0.0000 0.0000 8.1220
```



Record 3
Starting from the PBE geometry in Alexandria, the powder XRD pattern of Mg2AlAg was computed for Cu Kα X-rays.

Top 12 peaks for 10° ≤ 2θ ≤ 90°, sorted by position:
| 2theta | I_rel |
| --- | --- |
| 14.28 | 51 |
| 22.57 | 19 |
| 26.81 | 22 |
| 28.76 | 21 |
| 36.87 | 100 |
| 39.60 | 8 |
| 40.94 | 18 |
| 41.31 | 18 |
| 46.08 | 13 |
| 63.32 | 10 |
| 63.59 | 9 |
| 79.21 | 10 |

```
Mg2AlAg
1.0
3.1081 0.0000 0.0000
0.0000 3.9392 0.0000
-0.0527 0.0000 6.2006
Mg Al Ag
2 1 1
Cartesian
-0.0105 0.0000 1.5233
3.0659 0.0000 4.6773
1.5277 1.9696 3.1003
1.5541 1.9696 0.0000
```



Record 4
Starting from the PBE geometry in Alexandria, the powder XRD pattern of SmMg2AlAg2 was computed for Cu Kα X-rays.

Top 12 peaks for 10° ≤ 2θ ≤ 90°, sorted by position:
| 2theta | I_rel |
| --- | --- |
| 18.88 | 18 |
| 24.30 | 100 |
| 29.52 | 59 |
| 32.01 | 31 |
| 34.64 | 67 |
| 40.59 | 35 |
| 46.14 | 34 |
| 47.88 | 39 |
| 49.80 | 23 |
| 56.16 | 19 |
| 60.43 | 19 |
| 71.77 | 17 |

```
SmMg2AlAg2
1.0
-2.5896 2.5896 5.5921
2.5896 -2.5896 5.5921
2.5896 2.5896 -5.5921
Sm Mg Al Ag
1 2 1 2
Cartesian
0.0000 0.0000 0.0000
2.5896 0.0000 2.7960
0.0000 2.5896 2.7960
0.0000 0.0000 5.5921
0.0000 0.0000 3.1335
0.0000 0.0000 8.0506
```



Record 5
Starting from the PBE geometry in Alexandria, the powder XRD pattern of Sr2Mg6AlAg was computed for Cu Kα X-rays.

Top 12 peaks for 10° ≤ 2θ ≤ 90°, sorted by position:
| 2theta | I_rel |
| --- | --- |
| 14.19 | 38 |
| 18.91 | 34 |
| 22.38 | 64 |
| 24.35 | 100 |
| 30.74 | 83 |
| 35.00 | 36 |
| 35.59 | 47 |
| 37.29 | 36 |
| 38.35 | 46 |
| 39.63 | 28 |
| 42.47 | 27 |
| 56.04 | 30 |

```
Sr2Mg6AlAg
1.0
7.9462 0.0000 0.0000
0.0000 10.0902 0.0000
0.0000 0.0000 7.1201
Sr Mg Al Ag
4 12 2 2
Cartesian
1.9865 0.1460 1.6322
1.9865 4.8991 1.6322
5.9596 5.1911 5.4879
5.9596 9.9442 5.4879
0.4126 2.5225 6.4088
0.5222 7.5676 3.8823
1.9865 0.0092 5.1864
1.9865 5.0359 5.1864
3.4508 7.5676 3.8823
3.5605 2.5225 6.4088
4.3857 7.5676 0.7113
4.4953 2.5225 3.2378
5.9596 5.0543 1.9337
5.9596 10.0810 1.9337
7.4239 2.5225 3.2378
7.5336 7.5676 0.7113
1.9865 7.5676 6.4368
5.9596 2.5225 0.6833
1.9865 2.5225 4.0992
5.9596 7.5676 3.0209
```



Record 6
Starting from the PBE geometry in Alexandria, the powder XRD pattern of ThMgAl2Ag2 was computed for Cu Kα X-rays.

Top 12 peaks for 10° ≤ 2θ ≤ 90°, sorted by position:
| 2theta | I_rel |
| --- | --- |
| 12.36 | 12 |
| 26.02 | 100 |
| 34.00 | 93 |
| 37.70 | 15 |
| 40.05 | 58 |
| 48.39 | 19 |
| 53.52 | 25 |
| 56.17 | 28 |
| 56.58 | 12 |
| 64.56 | 16 |
| 68.90 | 24 |
| 84.98 | 11 |

```
ThMgAl2Ag2
1.0
4.5025 0.0000 0.0000
-2.2513 3.8993 0.0000
0.0000 0.0000 7.1586
Th Mg Al Ag
1 1 2 2
Cartesian
0.0000 0.0000 0.0000
0.0000 0.0000 3.5793
0.0000 2.5995 1.9611
2.2513 1.2998 5.1976
0.0000 2.5995 4.9450
2.2513 1.2998 2.2137
```



Record 7
Starting from the PBE geometry in Alexandria, the powder XRD pattern of YMgAl2Ag4 was computed for Cu Kα X-rays.

Top 12 peaks for 10° ≤ 2θ ≤ 90°, sorted by position:
| 2theta | I_rel |
| --- | --- |
| 23.51 | 10 |
| 26.55 | 48 |
| 28.62 | 14 |
| 33.59 | 26 |
| 36.39 | 90 |
| 39.35 | 100 |
| 45.68 | 10 |
| 54.67 | 26 |
| 69.31 | 18 |
| 69.41 | 25 |
| 71.34 | 16 |
| 84.65 | 10 |

```
YMgAl2Ag4
1.0
2.2899 1.3221 8.4121
-2.2899 1.3221 8.4121
0.0000 -2.6441 8.4121
Y Mg Al Ag
1 1 2 4
Cartesian
0.0000 0.0000 0.0000
0.0000 0.0000 12.6182
0.0000 0.0000 6.2726
0.0000 0.0000 18.9637
0.0000 0.0000 3.2649
0.0000 0.0000 9.9271
0.0000 0.0000 15.3093
0.0000 0.0000 21.9715
```



Record 8
Starting from the PBE geometry in Alexandria, the powder XRD pattern of MnAl2Ag2 was computed for Cu Kα X-rays.

Top 12 peaks for 10° ≤ 2θ ≤ 90°, sorted by position:
| 2theta | I_rel |
| --- | --- |
| 17.21 | 10 |
| 27.36 | 57 |
| 34.86 | 32 |
| 39.09 | 68 |
| 41.12 | 100 |
| 50.07 | 12 |
| 53.33 | 9 |
| 59.52 | 16 |
| 61.00 | 9 |
| 62.50 | 19 |
| 76.28 | 14 |
| 77.51 | 22 |

```
MnAl2Ag2
1.0
7.2881 0.0000 0.0000
0.0000 7.2881 0.0000
0.0000 0.0000 2.9698
Mn Al Ag
2 4 4
Cartesian
0.0000 0.0000 0.0000
3.6441 3.6441 0.0000
1.1329 2.5112 0.0000
2.5112 6.1553 0.0000
4.7769 1.1329 0.0000
6.1553 4.7769 0.0000
1.0586 4.7027 1.4849
2.5855 1.0586 1.4849
4.7027 6.2295 1.4849
6.2295 2.5855 1.4849
```